1.
This entry pairs a crystal structure of CaBeAsO5 with its theoretical powder diffraction line list. Radiation: Cu Ka. Structure: a crystal structure in the Materials Project, relaxed with GGA-PBE.
Peak positions follow from Bragg's law for the DFT cell and can differ from measured ones.

Structural model:
```
data_CaBeAsO5
_space_group_name_H-M_alt 'P 1 21/c 1'
_space_group_IT_number 14
_cell_length_a 4.9840
_cell_length_b 7.9313
_cell_length_c 10.2006
_cell_angle_alpha 90.00
_cell_angle_beta 90.00
_cell_angle_gamma 90.00
loop_
_space_group_symop_operation_xyz
'x,y,z'
'-x,-y,-z'
'-x,y+1/2,-z+1/2'
'x,-y+1/2,z+1/2'
loop_
_atom_site_label
_atom_site_type_symbol
_atom_site_fract_x
_atom_site_fract_y
_atom_site_fract_z
Ca1 Ca 0.0041 0.1153 0.1721
Be1 Be 0.4438 0.0841 0.6616
As1 As 0.4745 0.7252 0.5797
O1 O 0.2366 0.5843 0.5332
O2 O 0.2373 0.5958 0.8118
O3 O 0.3066 0.1521 0.8005
O4 O 0.3122 0.6025 0.1461
O5 O 0.3285 0.2109 0.5488
```

Peak list (10 most intense, 2θ = 10–90°, low angle first)
(1 0 0), 17.8°, d = 4.984 Å, intensity 33; (0 1 2), 20.7°, d = 4.290 Å, intensity 24; (0 2 0), 22.4°, d = 3.966 Å, intensity 24; (1 0 2), 25.0°, d = 3.565 Å, intensity 37; (1 1 -2), 27.4°, d = 3.251 Å, intensity 100; (1 2 0), 28.8°, d = 3.103 Å, intensity 41; (1 2 -1), 30.1°, d = 2.969 Å, intensity 30; (1 2 2), 33.8°, d = 2.650 Å, intensity 24; (0 1 4), 37.0°, d = 2.428 Å, intensity 19; (2 1 4), 52.6°, d = 1.739 Å, intensity 21

2.
This entry pairs a crystal structure of Li4Be3As3ClO12 with its theoretical powder diffraction line list. Radiation: Cu Ka. Structure: a crystal structure in the Materials Project, relaxed with GGA-PBE.
Peak positions follow from Bragg's law for the DFT cell and can differ from measured ones.

Structural model:
```
data_Li4Be3As3ClO12
_space_group_name_H-M_alt 'P -4 3 n'
_space_group_IT_number 218
_space_group_name_Hall 'P -4n 2 3'
_cell_length_a 8.3557
_cell_length_b 8.3557
_cell_length_c 8.3557
_cell_angle_alpha 90.00
_cell_angle_beta 90.00
_cell_angle_gamma 90.00
loop_
_atom_site_label
_atom_site_type_symbol
_atom_site_fract_x
_atom_site_fract_y
_atom_site_fract_z
Li1 Li 0.1708 0.1708 0.1708
Be1 Be 0.0000 0.2500 0.5000
As1 As 0.0000 0.5000 0.2500
Cl1 Cl 0.0000 0.0000 0.0000
O1 O 0.0938 0.3571 0.6356
```

Peak list (10 most intense, 2θ = 10–90°, low angle first)
(1 1 0), 15.0°, d = 5.908 Å, intensity 66; (2 0 0), 21.3°, d = 4.178 Å, intensity 23; (2 1 0), 23.8°, d = 3.737 Å, intensity 100; (2 1 1), 26.1°, d = 3.411 Å, intensity 94; (2 2 2), 37.3°, d = 2.412 Å, intensity 41; (3 2 0), 38.9°, d = 2.317 Å, intensity 31; (3 2 1), 40.4°, d = 2.233 Å, intensity 31; (4 2 1), 50.0°, d = 1.823 Å, intensity 31; (5 2 0), 59.6°, d = 1.552 Å, intensity 26; (4 4 0), 62.9°, d = 1.477 Å, intensity 28